Calculated powder diffractogram of Na3NbGaSi2PO12 for Cu Kα, 1.54184 Å, from DFT lattice parameters and positions (GGA-PBE).

Atomic structure:
```
Na3NbGaSi2PO12
1.0
7.7534 -4.5087 0.0000
7.7534 4.5087 0.0000
-5.3238 0.0000 7.3676
Na Nb Ga Si P O
6 2 2 4 2 24
Direct
0.0571 0.9429 0.5000
0.3117 0.8178 0.2377
0.5589 0.7100 0.0021
0.7100 0.5589 0.5021
0.8178 0.3117 0.7377
0.9429 0.0571 0.0000
0.4613 0.9701 0.6929
0.9701 0.4613 0.1929
0.1589 0.6797 0.8144
0.6797 0.1589 0.3144
0.0665 0.2850 0.5092
0.2850 0.0665 0.0092
0.7802 0.8683 0.5122
0.8683 0.7802 0.0122
0.3681 0.5665 0.5204
0.5665 0.3681 0.0204
0.0330 0.3083 0.3229
0.0481 0.7547 0.9908
0.0931 0.4673 0.6767
0.0936 0.2411 0.0215
0.1902 0.5370 0.3517
0.2411 0.0936 0.5215
0.2579 0.8902 0.9919
0.3083 0.0330 0.8229
0.3448 0.6080 0.6927
0.3724 0.7400 0.5178
0.4119 0.5418 0.9946
0.4673 0.0931 0.1767
0.5370 0.1902 0.8517
0.5418 0.4119 0.4946
0.5969 0.8749 0.5222
0.6080 0.3448 0.1927
0.6794 0.8180 0.8336
0.7400 0.3724 0.0178
0.7547 0.0481 0.4908
0.8180 0.6794 0.3336
0.8454 0.9570 0.1916
0.8749 0.5969 0.0222
0.8902 0.2579 0.4919
0.9570 0.8454 0.6916
```

Peak list (10 most intense, 2θ = 10–90°, low angle first)
d [Å]	2θ/deg	I_rel
6.402	13.8	28
4.545	19.5	40
4.509	19.7	23
4.485	19.8	100
3.201	27.9	28
2.872	31.1	35
2.853	31.4	39
2.821	31.7	35
2.598	34.5	46
1.931	47.1	21